No. 1
The following is a theoretical X-ray diffraction stick pattern of CdBiSe2Br. It was derived from the PBE geometry in OQMD, using a wavelength of 1.5418 Å.

Peak list (10 most intense, 5° ≤ 2θ ≤ 70°, by intensity)
(1 1 3), d 2.913, I = 100; (0 1 3), d 3.042, I = 96; (2 1 5), d 2.054, I = 64; (2 0 2), d 4.028, I = 55; (3 0 2), d 3.006, I = 45; (0 2 0), d 2.085, I = 41; (2 1 2), d 2.897, I = 30; (1 0 1), d 8.055, I = 27; (3 0 1), d 3.265, I = 27; (3 1 1), d 2.571, I = 25

Cell and atoms:
```
data_CdBiSe2Br
_chemical_formula_sum 'Cd4 Bi4 Se8 Br4'
_space_group_name_H-M_alt 'P n m a'
_space_group_IT_number 62
_cell_length_a 10.1027
_cell_length_b 4.1690
_cell_length_c 13.3469
_cell_angle_alpha 90.00
_cell_angle_beta 90.00
_cell_angle_gamma 90.00
loop_
_space_group_symop_operation_xyz
'x,y,z'
'-x,-y,-z'
'-x+1/2,-y,z+1/2'
'x+1/2,y,-z+1/2'
'x+1/2,-y+1/2,-z+1/2'
'-x+1/2,y+1/2,z+1/2'
'-x,y+1/2,-z'
'x,-y+1/2,z'
loop_
_atom_site_label
_atom_site_type_symbol
_atom_site_fract_x
_atom_site_fract_y
_atom_site_fract_z
_atom_site_occupancy
Cd1 Cd 0.0060 0.2500 0.2360 1
Bi1 Bi 0.1902 0.7500 0.4724 1
Se1 Se 0.0564 0.2500 0.6139 1
Se2 Se 0.2482 0.2500 0.3317 1
Br1 Br 0.0757 0.7500 0.1045 1
```

---

No. 2
The following is a theoretical X-ray diffraction stick pattern of Hg3BiS4Br. It was derived from the PBE geometry in OQMD, using a wavelength of 1.5418 Å.

Peak list (10 most intense, 5° ≤ 2θ ≤ 70°, by intensity)
(2 0 2), d 2.750, I = 100; (2 0 0), d 3.387, I = 65; (0 0 2), d 4.709, I = 50; (2 2 0), d 1.956, I = 30; (2 0 4), d 1.933, I = 28; (2 2 2), d 1.806, I = 24; (4 0 2), d 1.594, I = 20; (1 1 2), d 3.009, I = 14; (4 0 0), d 1.694, I = 10; (4 0 4), d 1.375, I = 9

Cell and atoms:
```
data_Hg3BiS4Br
_chemical_formula_sum 'Hg6 Bi2 S8 Br2'
_space_group_name_H-M_alt 'P 63 m c'
_space_group_IT_number 186
_space_group_name_Hall 'P 6c -2c'
_cell_length_a 7.8231
_cell_length_b 7.8231
_cell_length_c 9.4175
_cell_angle_alpha 90.00
_cell_angle_beta 90.00
_cell_angle_gamma 120.00
loop_
_atom_site_label
_atom_site_type_symbol
_atom_site_fract_x
_atom_site_fract_y
_atom_site_fract_z
_atom_site_occupancy
Hg1 Hg 0.0085 0.5042 0.0000 1
Bi1 Bi 0.0000 0.0000 0.4425 1
S1 S 0.1543 0.3086 0.6042 1
S2 S 0.3333 0.6667 0.8713 1
Br1 Br 0.3333 0.6667 0.2796 1
```

---

No. 3
The following is a theoretical X-ray diffraction stick pattern of HoBi2BrO4. It was derived from the PBE geometry in OQMD, using a wavelength of 1.5418 Å.

Peak list (10 most intense, 5° ≤ 2θ ≤ 70°, by intensity)
(1 0 2), d 2.940, I = 100; (1 1 0), d 2.736, I = 35; (2 1 2), d 1.616, I = 35; (1 1 4), d 1.743, I = 21; (2 0 0), d 1.935, I = 19; (1 1 3), d 2.026, I = 9; (2 0 4), d 1.470, I = 9; (0 0 4), d 2.262, I = 8; (1 0 1), d 3.558, I = 8; (1 0 0), d 3.869, I = 7

Cell and atoms:
```
data_HoBi2BrO4
_chemical_formula_sum 'Ho1 Bi2 Br1 O4'
_space_group_name_H-M_alt 'P 4 m m'
_space_group_IT_number 99
_cell_length_a 3.8693
_cell_length_b 3.8693
_cell_length_c 9.0469
_cell_angle_alpha 90.00
_cell_angle_beta 90.00
_cell_angle_gamma 90.00
loop_
_space_group_symop_operation_xyz
'x,y,z'
'-y,x,z'
'-x,-y,z'
'y,-x,z'
'-x,y,z'
'y,x,z'
'x,-y,z'
'-y,-x,z'
loop_
_atom_site_label
_atom_site_type_symbol
_atom_site_fract_x
_atom_site_fract_y
_atom_site_fract_z
_atom_site_occupancy
Ho1 Ho 0.0000 0.0000 0.0000 1
Bi1 Bi 0.5000 0.5000 0.2752 1
Bi2 Bi 0.5000 0.5000 0.7251 1
Br1 Br 0.0000 0.0000 0.5010 1
O1 O 0.0000 0.5000 0.1513 1
O2 O 0.0000 0.5000 0.8498 1
```

---

No. 4
The following is a theoretical X-ray diffraction stick pattern of HoBiSbBrO4. It was derived from the PBE geometry in OQMD, using a wavelength of 1.5418 Å.

Peak list (10 most intense, 5° ≤ 2θ ≤ 70°, by intensity)
(1 0 2), d 2.910, I = 100; (1 1 0), d 2.706, I = 34; (2 1 2), d 1.599, I = 34; (1 1 4), d 1.726, I = 21; (2 0 0), d 1.913, I = 19; (1 0 1), d 3.519, I = 12; (0 0 1), d 8.963, I = 12; (1 1 3), d 2.006, I = 10; (2 0 4), d 1.455, I = 9; (0 0 4), d 2.241, I = 8

Cell and atoms:
```
data_HoBiSbBrO4
_chemical_formula_sum 'Ho1 Bi1 Sb1 Br1 O4'
_space_group_name_H-M_alt 'P 4 m m'
_space_group_IT_number 99
_cell_length_a 3.8266
_cell_length_b 3.8266
_cell_length_c 8.9628
_cell_angle_alpha 90.00
_cell_angle_beta 90.00
_cell_angle_gamma 90.00
loop_
_space_group_symop_operation_xyz
'x,y,z'
'-y,x,z'
'-x,-y,z'
'y,-x,z'
'-x,y,z'
'y,x,z'
'x,-y,z'
'-y,-x,z'
loop_
_atom_site_label
_atom_site_type_symbol
_atom_site_fract_x
_atom_site_fract_y
_atom_site_fract_z
_atom_site_occupancy
Ho1 Ho 0.0000 0.0000 0.0000 1
Bi1 Bi 0.5000 0.5000 0.7221 1
Sb1 Sb 0.5000 0.5000 0.2728 1
Br1 Br 0.0000 0.0000 0.5079 1
O1 O 0.0000 0.5000 0.1614 1
O2 O 0.0000 0.5000 0.8540 1
```